# 1
Theoretical powder X-ray diffraction pattern
Compound: Cs5PdAu
Radiation: CuKα
Structure: a crystal structure in Alexandria, relaxed with PBE
No peak broadening, texture or thermal motion is included.

Structural model:
Cell: 10.318 5.243 16.710 Å, 90.00 91.01 90.00°
Space group P2_1/m (No. 11)
Symmetry-distinct sites (fractional):
Cs 0.085 0.250 0.317
Cs 0.137 0.750 0.927
Cs 0.330 0.750 0.479
Cs 0.351 0.250 0.138
Cs 0.376 0.250 0.709
Pd 0.429 0.250 0.353
Au 0.086 0.750 0.149

Main lines, sorted by position (2θ from 5° to 70°):
(1 0 -1), 2θ = 10.00°, I = 100
(1 1 2), 2θ = 21.86°, I = 69
(2 1 0), 2θ = 24.20°, I = 36
(1 1 -3), 2θ = 24.75°, I = 57
(2 1 -2), 2θ = 26.36°, I = 32
(0 2 0), 2θ = 34.20°, I = 39

=====

# 2
Theoretical powder X-ray diffraction pattern
Compound: Cs6PdAu
Radiation: CuKα
Structure: a crystal structure in Alexandria, relaxed with PBE
No peak broadening, texture or thermal motion is included.

Structural model:
Cell: 8.9700 8.9700 16.8853 Å, 90.00 90.00 120.00°
Space group P-31c (No. 163)
Symmetry-distinct sites (fractional):
Cs 0.0239 0.3456 0.1277
Pd 0.3333 0.6667 0.2500
Au 0.0000 0.0000 0.0000

Main lines, sorted by position (2θ from 5° to 70°):
(1 0 2), 2θ = 15.50°, I = 32
(2 -1 2), 2θ = 22.45°, I = 100
(1 1 4), 2θ = 29.05°, I = 55
(3 0 0), 2θ = 34.64°, I = 40
(1 1 6), 2θ = 37.74°, I = 25
(3 0 8), 2θ = 56.23°, I = 19

=====

# 3
Theoretical powder X-ray diffraction pattern
Compound: CsPdAu
Radiation: CuKα
Structure: a crystal structure in Alexandria, relaxed with PBE
No peak broadening, texture or thermal motion is included.

Structural model:
Cell: 4.638 6.754 7.009 Å, 115.01 109.13 90.28°
Space group P-1 (No. 2)
Symmetry-distinct sites (fractional):
Cs 0.112 0.299 0.230
Pd 0.208 0.903 0.417
Au 0.404 0.300 0.807

Main lines, sorted by position (2θ from 5° to 70°):
(0 1 -1), 2θ = 15.57°, I = 100
(1 -1 1), 2θ = 28.23°, I = 53
(1 1 -2), 2θ = 28.35°, I = 52
(0 2 -2), 2θ = 31.43°, I = 81
(1 1 1), 2θ = 37.74°, I = 98
(2 0 -1), 2θ = 38.84°, I = 58

=====

# 4
Theoretical powder X-ray diffraction pattern
Compound: Cs8PdAu4
Radiation: CuKα
Structure: a crystal structure in Alexandria, relaxed with PBE
No peak broadening, texture or thermal motion is included.

Structural model:
Cell: 10.3965 10.3965 25.4337 Å, 90.00 90.00 120.00°
Space group R-3m (No. 166, hexagonal axes)
Symmetry-distinct sites (fractional):
Cs 0.0000 0.0000 0.2441
Cs 0.0181 0.5091 0.7510
Pd 0.0000 0.0000 0.0000
Au 0.0000 0.0000 0.5000
Au 0.0000 0.5000 0.5000

Main lines, sorted by position (2θ from 5° to 70°):
(0 0 3), 2θ = 10.43°, I = 35
(0 2 4), 2θ = 24.22°, I = 100
(2 0 8), 2θ = 34.52°, I = 79
(0 0 12), 2θ = 42.62°, I = 29
(2 2 12), 2θ = 55.96°, I = 38
(0 2 16), 2θ = 61.86°, I = 28

=====

# 5
Theoretical powder X-ray diffraction pattern
Compound: CsSb2PdAu
Radiation: CuKα
Structure: a crystal structure in Alexandria, relaxed with PBE
No peak broadening, texture or thermal motion is included.

Structural model:
Cell: 5.157 5.157 7.179 Å, 90.00 90.00 90.00°
Space group P4mm (No. 99)
Symmetry-distinct sites (fractional):
Cs 0.000 0.000 0.000
Sb 0.000 0.500 0.434
Pd 0.000 0.000 0.542
Au 0.500 0.500 0.291

Main lines, sorted by position (2θ from 5° to 70°):
(0 0 1), 2θ = 12.33°, I = 100
(1 0 1), 2θ = 21.21°, I = 49
(1 0 2), 2θ = 30.34°, I = 68
(2 0 0), 2θ = 34.79°, I = 61
(1 1 3), 2θ = 45.33°, I = 34
(2 1 2), 2θ = 46.82°, I = 41

=====

# 6
Theoretical powder X-ray diffraction pattern
Compound: Cs8PtAu3
Radiation: CuKα
Structure: a crystal structure in Alexandria, relaxed with PBE
No peak broadening, texture or thermal motion is included.

Structural model:
Cell: 10.412 14.908 10.348 Å, 90.00 90.00 90.00°
Space group C222 (No. 21)
Symmetry-distinct sites (fractional):
Cs 0.000 0.225 0.000
Cs 0.000 0.245 0.500
Cs 0.227 0.008 0.234
Pt 0.000 0.000 0.000
Au 0.000 0.000 0.500
Au 0.250 0.250 0.251

Main lines, sorted by position (2θ from 5° to 70°):
(1 1 0), 2θ = 10.36°, I = 54
(1 1 1), 2θ = 13.45°, I = 41
(0 4 0), 2θ = 23.88°, I = 50
(2 0 2), 2θ = 24.25°, I = 100
(2 4 2), 2θ = 34.29°, I = 77
(4 4 4), 2θ = 55.86°, I = 26

=====

# 7
Theoretical powder X-ray diffraction pattern
Compound: Cs4PtAu
Radiation: CuKα
Structure: a crystal structure in Alexandria, relaxed with PBE
No peak broadening, texture or thermal motion is included.

Structural model:
Cell: 5.9497 5.9497 29.6250 Å, 90.00 90.00 120.00°
Space group R-3m (No. 166, hexagonal axes)
Symmetry-distinct sites (fractional):
Cs 0.0000 0.0000 0.1176
Cs 0.0000 0.0000 0.3683
Pt 0.0000 0.0000 0.0000
Au 0.0000 0.0000 0.5000

Main lines, sorted by position (2θ from 5° to 70°):
(0 1 2), 2θ = 18.23°, I = 61
(0 1 8), 2θ = 29.71°, I = 96
(1 1 0), 2θ = 30.04°, I = 100
(1 1 6), 2θ = 35.22°, I = 23
(2 0 8), 2θ = 42.76°, I = 35
(1 2 8), 2θ = 53.14°, I = 38

=====

# 8
Theoretical powder X-ray diffraction pattern
Compound: CsPu4Au3Se12
Radiation: CuKα
Structure: a crystal structure in Alexandria, relaxed with PBE
No peak broadening, texture or thermal motion is included.

Structural model:
Cell: 10.445 10.445 10.445 Å, 90.00 90.00 90.00°
Space group Im-3 (No. 204)
Symmetry-distinct sites (fractional):
Cs 0.000 0.000 0.000
Pu 0.250 0.250 0.250
Au 0.000 0.000 0.500
Se 0.000 0.322 0.167

Main lines, sorted by position (2θ from 5° to 70°):
(2 2 0), 2θ = 24.10°, I = 100
(3 0 1), 2θ = 27.00°, I = 17
(4 0 0), 2θ = 34.34°, I = 32
(4 2 2), 2θ = 42.40°, I = 85
(6 2 0), 2θ = 55.65°, I = 28
(6 2 4), 2θ = 67.05°, I = 27

=====

# 9
Theoretical powder X-ray diffraction pattern
Compound: Cs3Rb5Au3
Radiation: CuKα
Structure: a crystal structure in Alexandria, relaxed with PBE
No peak broadening, texture or thermal motion is included.

Structural model:
Cell: 11.0048 11.0048 7.1839 Å, 90.00 90.00 120.00°
Space group P-62m (No. 189)
Symmetry-distinct sites (fractional):
Cs 0.0000 0.6360 0.0000
Rb 0.0000 0.2474 0.5000
Rb 0.3333 0.6667 0.5000
Au 0.0000 0.6249 0.5000

Main lines, sorted by position (2θ from 5° to 70°):
(0 0 1), 2θ = 12.32°, I = 45
(1 1 0), 2θ = 16.11°, I = 100
(0 0 2), 2θ = 24.76°, I = 82
(3 0 0), 2θ = 28.09°, I = 59
(1 1 2), 2θ = 29.70°, I = 47
(3 0 2), 2θ = 37.81°, I = 54

=====

# 10
Theoretical powder X-ray diffraction pattern
Compound: Cs5Rb5Au6
Radiation: CuKα
Structure: a crystal structure in Alexandria, relaxed with PBE
No peak broadening, texture or thermal motion is included.

Structural model:
Cell: 7.733 18.315 10.642 Å, 90.00 90.00 90.00°
Space group Amm2 (No. 38)
Symmetry-distinct sites (fractional):
Cs 0.000 0.000 0.000
Cs 0.000 0.133 0.404
Cs 0.500 0.133 0.137
Rb 0.251 0.165 0.768
Rb 0.500 0.000 0.539
Au 0.000 0.000 0.662
Au 0.000 0.197 0.073
Au 0.500 0.000 0.876
Au 0.500 0.195 0.466

Main lines, sorted by position (2θ from 5° to 70°):
(2 0 0), 2θ = 23.00°, I = 51
(1 4 2), 2θ = 28.14°, I = 86
(1 5 1), 2θ = 28.23°, I = 41
(2 3 1), 2θ = 28.57°, I = 100
(0 3 3), 2θ = 29.12°, I = 52
(3 4 2), 2θ = 43.74°, I = 38

=====

# 11
Theoretical powder X-ray diffraction pattern
Compound: Cs4Rb8Au3
Radiation: CuKα
Structure: a crystal structure in Alexandria, relaxed with PBE
No peak broadening, texture or thermal motion is included.

Structural model:
Cell: 6.399 6.399 24.908 Å, 90.00 90.00 90.00°
Space group P-4m2 (No. 115)
Symmetry-distinct sites (fractional):
Cs 0.000 0.500 0.081
Cs 0.000 0.500 0.583
Rb 0.000 0.000 0.248
Rb 0.000 0.500 0.415
Rb 0.000 0.500 0.922
Rb 0.500 0.500 0.247
Au 0.000 0.000 0.000
Au 0.000 0.000 0.500
Au 0.500 0.500 0.000

Main lines, sorted by position (2θ from 5° to 70°):
(0 0 2), 2θ = 7.10°, I = 95
(1 1 4), 2θ = 24.32°, I = 100
(2 0 0), 2θ = 27.89°, I = 65
(1 1 6), 2θ = 29.19°, I = 43
(1 1 8), 2θ = 34.98°, I = 44
(3 1 4), 2θ = 47.23°, I = 33

=====

# 12
Theoretical powder X-ray diffraction pattern
Compound: CsRb5Au5
Radiation: CuKα
Structure: a crystal structure in Alexandria, relaxed with PBE
No peak broadening, texture or thermal motion is included.

Structural model:
Cell: 7.247 7.300 9.477 Å, 75.36 75.39 71.18°
Space group P-1 (No. 2)
Symmetry-distinct sites (fractional):
Cs 0.000 0.000 0.000
Rb 0.151 0.172 0.347
Rb 0.326 0.344 0.655
Rb 0.500 0.500 0.000
Au 0.000 0.500 0.000
Au 0.183 0.671 0.326
Au 0.348 0.835 0.672

Main lines, sorted by position (2θ from 5° to 70°):
(0 2 -1), 2θ = 29.79°, I = 100
(0 2 2), 2θ = 29.85°, I = 50
(2 0 2), 2θ = 30.00°, I = 97
(2 2 1), 2θ = 30.22°, I = 49
(2 2 4), 2θ = 42.92°, I = 36
(0 4 1), 2θ = 52.97°, I = 39